For GaC3, a crystal structure in Alexandria, relaxed with PBE gives the simulated powder X-ray diffraction pattern in this record (Cu Ka).
Peak positions follow from Bragg's law for the DFT cell and can differ from measured ones.

Peak list (6 most intense, 10 to 80 degrees two-theta, in order of rising 2θ)
2θ (°)	intensity	hkl
26.8	100	1 0 0
38.3	82	1 1 0
47.3	74	1 1 1
55.2	33	2 0 0
62.4	40	2 1 0
69.2	29	2 1 1

Structure:
```
data_GaC3
_cell_length_a 3.3254
_cell_length_b 3.3254
_cell_length_c 3.3254
_cell_angle_alpha 90.00
_cell_angle_beta 90.00
_cell_angle_gamma 90.00
_symmetry_space_group_name_H-M 'P m -3 m'
_symmetry_Int_Tables_number 221
_symmetry_space_group_name_Hall '-P 4 2 3'
loop_
_atom_site_label
_atom_site_fract_x
_atom_site_fract_y
_atom_site_fract_z
Ga1 0.0000 0.0000 0.0000
C1 0.0000 0.5000 0.5000
```